No. 1
# LiTl2SnI6
Computed XRD peak list, Cu Kα X-rays. Input: a DFT-relaxed cell (GGA-PBE, Alexandria).
Kinematic intensities with the Lorentz-polarization factor, no thermal factor.

Structure:
Cell lengths 7.942, 8.557, 13.916 Å; angles 90.00, 124.48, 90.00 degrees
Fractional coordinates of all 20 atoms:
Li (0.000, 0.000, 0.000)
Li (0.000, 0.500, 0.500)
Tl (0.213, 0.099, 0.750)
Tl (0.213, 0.401, 0.250)
Tl (0.787, 0.599, 0.750)
Tl (0.787, 0.901, 0.250)
Sn (0.500, 0.000, 0.500)
Sn (0.500, 0.500, 0.000)
I (0.134, 0.191, 0.450)
I (0.134, 0.309, 0.950)
I (0.269, 0.690, 0.454)
I (0.269, 0.810, 0.954)
I (0.353, 0.014, 0.245)
I (0.353, 0.486, 0.745)
I (0.647, 0.514, 0.255)
I (0.647, 0.986, 0.755)
I (0.731, 0.190, 0.046)
I (0.731, 0.310, 0.546)
I (0.866, 0.691, 0.050)
I (0.866, 0.809, 0.550)

Most intense lines, 10 to 90 degrees two-theta, most intense first:
2θ (°)  intensity
26.0  100
25.9  60
31.2  50
34.3  49
33.4  41
31.4  39
28.3  39
30.7  34
38.8  33
31.7  33

---

No. 2
# CeDyYEr2
Computed XRD peak list, Cu Kα X-rays. Input: a DFT-relaxed cell (GGA-PBE, Alexandria).
Kinematic intensities with the Lorentz-polarization factor, no thermal factor.

Structure:
Cell lengths 3.565, 5.452, 8.582 Å; angles 90.00, 90.00, 90.00 degrees
Fractional coordinates of all 5 atoms:
Ce (0.000, 0.000, 0.000)
Dy (0.500, 0.000, 0.500)
Y (0.500, 0.500, 0.000)
Er (0.000, 0.500, 0.320)
Er (0.000, 0.500, 0.680)

Most intense lines, 10 to 90 degrees two-theta, most intense first:
2θ (°)  intensity
31.7  100
26.4  50
32.9  42
40.4  26
35.4  25
53.0  24
62.4  22
36.7  19
58.0  18
32.7  17

---

No. 3
# ThMg16Al12
Computed XRD peak list, Cu Kα X-rays. Input: a DFT-relaxed cell (GGA-PBE, Alexandria).
Kinematic intensities with the Lorentz-polarization factor, no thermal factor.

Structure:
Cell lengths 9.172, 9.172, 9.172 Å; angles 109.47, 109.47, 109.47 degrees
Fractional coordinates of all 29 atoms:
Th (0.000, 0.000, 0.000)
Mg (0.000, 0.000, 0.633)
Mg (0.000, 0.396, 0.680)
Mg (0.000, 0.633, 0.000)
Mg (0.000, 0.680, 0.396)
Mg (0.284, 0.604, 0.604)
Mg (0.320, 0.320, 0.716)
Mg (0.320, 0.716, 0.320)
Mg (0.367, 0.367, 0.367)
Mg (0.396, 0.000, 0.680)
Mg (0.396, 0.680, 0.000)
Mg (0.604, 0.284, 0.604)
Mg (0.604, 0.604, 0.284)
Mg (0.633, 0.000, 0.000)
Mg (0.680, 0.000, 0.396)
Mg (0.680, 0.396, 0.000)
Mg (0.716, 0.320, 0.320)
Al (0.000, 0.187, 0.369)
Al (0.000, 0.369, 0.187)
Al (0.183, 0.813, 0.813)
Al (0.187, 0.000, 0.369)
Al (0.187, 0.369, 0.000)
Al (0.369, 0.000, 0.187)
Al (0.369, 0.187, 0.000)
Al (0.631, 0.631, 0.817)
Al (0.631, 0.817, 0.631)
Al (0.813, 0.183, 0.813)
Al (0.813, 0.813, 0.183)
Al (0.817, 0.631, 0.631)

Most intense lines, 10 to 90 degrees two-theta, most intense first:
2θ (°)  intensity
36.0  100
11.8  68
20.5  36
31.6  35
64.7  30
26.6  22
39.9  20
41.8  19
62.0  18
47.0  14